The following is a calculated powder XRD pattern of Cs3Ge2PbCl9. It was derived from a DFT-relaxed cell (PBE, Alexandria), using CuKα.

Cell and atoms:
```
data_Cs3Ge2PbCl9
_space_group_name_H-M_alt 'P 1'
_space_group_IT_number 1
_cell_length_a 7.7250
_cell_length_b 7.7250
_cell_length_c 9.4791
_cell_angle_alpha 90.00
_cell_angle_beta 90.00
_cell_angle_gamma 120.00
loop_
_space_group_symop_operation_xyz
'x,y,z'
loop_
_atom_site_label
_atom_site_type_symbol
_atom_site_fract_x
_atom_site_fract_y
_atom_site_fract_z
_atom_site_occupancy
Cs1 Cs 0.0000 0.0000 0.0000 1
Cs2 Cs 0.3333 0.6667 0.6748 1
Cs3 Cs 0.6667 0.3333 0.3252 1
Ge1 Ge 0.3333 0.6667 0.1587 1
Ge2 Ge 0.6667 0.3333 0.8413 1
Pb1 Pb 0.0000 0.0000 0.5000 1
Cl1 Cl 0.0000 0.5000 0.0000 1
Cl2 Cl 0.1737 0.3474 0.3235 1
Cl3 Cl 0.1737 0.8263 0.3235 1
Cl4 Cl 0.3474 0.1737 0.6765 1
Cl5 Cl 0.5000 0.0000 0.0000 1
Cl6 Cl 0.5000 0.5000 0.0000 1
Cl7 Cl 0.6526 0.8263 0.3235 1
Cl8 Cl 0.8263 0.1737 0.6765 1
Cl9 Cl 0.8263 0.6526 0.6765 1
```

Main lines, in order of rising 2θ (10 to 90 degrees two-theta):
d (Å)  I/Imax
3.865  100.0
3.156  14.9
2.733  57.9
2.231  46.6
1.932  38.9
1.728  22.3
1.577  10.2
1.462  12.3
1.460  13.0
1.222  16.8

The following is a calculated powder XRD pattern of Nb3Ni8Ir2. It was derived from a DFT-relaxed cell (PBE, Alexandria), using CuKα.

Cell and atoms:
```
data_Nb3Ni8Ir2
_space_group_name_H-M_alt 'P 1'
_space_group_IT_number 1
_cell_length_a 9.8458
_cell_length_b 9.8458
_cell_length_c 9.8458
_cell_angle_alpha 27.33
_cell_angle_beta 27.33
_cell_angle_gamma 27.33
loop_
_space_group_symop_operation_xyz
'x,y,z'
loop_
_atom_site_label
_atom_site_type_symbol
_atom_site_fract_x
_atom_site_fract_y
_atom_site_fract_z
_atom_site_occupancy
Nb1 Nb 0.0000 0.0000 0.0000 1
Nb2 Nb 0.1871 0.1871 0.1871 1
Nb3 Nb 0.8129 0.8129 0.8129 1
Ni1 Ni 0.2300 0.7326 0.7326 1
Ni2 Ni 0.2674 0.2674 0.7700 1
Ni3 Ni 0.2674 0.7700 0.2674 1
Ni4 Ni 0.2735 0.2735 0.2735 1
Ni5 Ni 0.7265 0.7265 0.7265 1
Ni6 Ni 0.7326 0.2300 0.7326 1
Ni7 Ni 0.7326 0.7326 0.2300 1
Ni8 Ni 0.7700 0.2674 0.2674 1
Ir1 Ir 0.3597 0.3597 0.3597 1
Ir2 Ir 0.6403 0.6403 0.6403 1
```

Main lines, in order of rising 2θ (10 to 90 degrees two-theta):
d (Å)  I/Imax
3.504  32.0
2.326  67.8
2.259  34.7
2.175  100.0
2.088  46.3
1.994  36.1
1.921  21.3
1.898  21.2
1.312  37.5
1.163  22.0